For Rb2HgGe2, the PBE geometry in Alexandria gives the theoretical powder X-ray diffraction pattern in this record (CuKα).
No peak broadening, texture or thermal motion is included.

Lattice parameters (Å, degrees): 10.262 10.262 3.761 90.00 90.00 90.00
Element x y z (fractional)
Rb1 0.207 0.293 0.000
Rb2 0.293 0.793 0.000
Rb3 0.707 0.207 0.000
Rb4 0.793 0.707 0.000
Hg1 0.000 0.000 0.000
Hg2 0.500 0.500 0.000
Ge1 0.081 0.581 0.500
Ge2 0.419 0.081 0.500
Ge3 0.581 0.919 0.500
Ge4 0.919 0.419 0.500

Principal peaks in the range 2θ = 10–90°, by angle:
- 2θ 24.54, I 92, (2 2 0)
- 2θ 26.70, I 100, (1 1 1)
- 2θ 27.49, I 53, (3 1 0)
- 2θ 30.74, I 34, (2 1 1)
- 2θ 31.43, I 26, (3 2 0)
- 2θ 34.34, I 46, (2 2 1)
- 2θ 36.57, I 56, (3 1 1)
- 2θ 42.66, I 38, (4 0 1)